Starting from the GGA-PBE geometry in Alexandria, the X-ray diffraction stick pattern of Ca9Fe2N8 was simulated for CuKα.
Peak positions follow from Bragg's law for the DFT cell and can differ from measured ones.

Principal peaks in the range 2θ from 15° to 90°, in order of rising 2θ:
2θ (°)	I_rel	(hkl)
21.4	32	1 1 -1
23.7	23	3 1 0
29.5	27	1 1 -2
30.2	59	5 1 -1
31.6	23	5 1 0
32.6	57	1 1 2
35.4	28	4 0 -3
36.5	100	0 2 0
37.5	27	6 0 1
38.9	33	6 0 -3

Structure:
a b c (Å): 18.630 4.928 7.770
angles (deg): 90.00 111.53 90.00
Space group C2/m (No. 12)
Symmetry-distinct sites (fractional):
Ca  0.000  0.000  0.000 [2 per cell]
Ca  0.038  0.500  0.737 [4 per cell]
Ca  0.087  0.000  0.485 [4 per cell]
Ca  0.174  0.000  0.952 [4 per cell]
Ca  0.195  0.500  0.322 [4 per cell]
Fe  0.191  0.500  0.699 [4 per cell]
N  0.037  0.000  0.748 [4 per cell]
N  0.108  0.500  0.499 [4 per cell]
N  0.182  0.500  0.912 [4 per cell]
N  0.217  0.000  0.316 [4 per cell]

=====

Starting from the GGA-PBE geometry in Alexandria, the X-ray diffraction stick pattern of Ca2PaFeN4 was simulated for CuKα.
Peak positions follow from Bragg's law for the DFT cell and can differ from measured ones.

Principal peaks in the range 2θ from 15° to 90°, in order of rising 2θ:
2θ (°)	I_rel	(hkl)
15.2	100	0 0 2
17.8	52	0 2 1
28.1	43	0 2 3
30.6	43	0 0 4
31.7	81	1 1 2
32.6	25	0 4 0
37.0	63	1 3 1
39.4	31	1 3 2
41.8	27	1 1 4
52.0	24	1 5 2

Structure:
a b c (Å): 3.372 11.002 11.669
angles (deg): 90.00 90.00 90.00
Space group Cmcm (No. 63)
Symmetry-distinct sites (fractional):
Ca  0.000  0.132  0.045 [8 per cell]
Pa  0.000  0.401  0.250 [4 per cell]
Fe  0.000  0.338  0.750 [4 per cell]
N  0.000  0.064  0.250 [4 per cell]
N  0.000  0.214  0.646 [8 per cell]
N  0.000  0.500  0.000 [4 per cell]

=====

Starting from the GGA-PBE geometry in Alexandria, the X-ray diffraction stick pattern of CaTa2FeN4 was simulated for CuKα.
Peak positions follow from Bragg's law for the DFT cell and can differ from measured ones.

Principal peaks in the range 2θ from 15° to 90°, in order of rising 2θ:
2θ (°)	I_rel	(hkl)
16.3	83	0 0 2
18.4	78	0 2 1
29.8	98	0 2 3
30.2	40	1 1 0
33.3	74	0 4 0
34.5	90	1 1 2
39.3	60	1 1 3
42.1	100	1 3 2
45.1	59	0 2 5
58.2	41	1 5 3

Structure:
a b c (Å): 3.079 10.769 10.843
angles (deg): 90.00 90.00 90.00
Space group Cmcm (No. 63)
Symmetry-distinct sites (fractional):
Ca  0.000  0.108  0.250 [4 per cell]
Ta  0.000  0.369  0.055 [8 per cell]
Fe  0.000  0.159  0.750 [4 per cell]
N  0.000  0.000  0.000 [4 per cell]
N  0.000  0.270  0.610 [8 per cell]
N  0.000  0.441  0.250 [4 per cell]

=====

Starting from the GGA-PBE geometry in Alexandria, the X-ray diffraction stick pattern of CaTi2FeN4 was simulated for CuKα.
Peak positions follow from Bragg's law for the DFT cell and can differ from measured ones.

Principal peaks in the range 2θ from 15° to 90°, in order of rising 2θ:
2θ (°)	I_rel	(hkl)
18.7	35	0 2 1
33.6	44	0 0 4
33.9	32	0 4 0
34.8	63	1 1 2
39.9	26	1 3 1
42.6	100	1 3 2
45.9	24	0 2 5
48.5	22	0 4 4
59.1	23	1 5 3
60.4	18	2 0 0

Structure:
a b c (Å): 3.067 10.568 10.657
angles (deg): 90.00 90.00 90.00
Space group Cmcm (No. 63)
Symmetry-distinct sites (fractional):
Ca  0.000  0.106  0.250 [4 per cell]
Ti  0.000  0.368  0.041 [8 per cell]
Fe  0.000  0.160  0.750 [4 per cell]
N  0.000  0.000  0.000 [4 per cell]
N  0.000  0.264  0.611 [8 per cell]
N  0.000  0.429  0.250 [4 per cell]